This entry pairs a crystal structure of K3B17 with its computed X-ray powder pattern. Radiation: Cu Kα (λ = 1.5418 Å). Structure: a DFT-relaxed cell (PBE, the Materials Project).

Main lines, by intensity (10° ≤ 2θ ≤ 90°):
| 2θ (°) | I_rel |
| --- | --- |
| 29.91 | 100 |
| 36.79 | 65 |
| 29.76 | 41 |
| 47.96 | 35 |
| 66.34 | 29 |
| 42.59 | 23 |

Structure:
```
data_K3B17
_chemical_formula_sum 'K6 B34'
_space_group_name_H-M_alt 'P 1'
_space_group_IT_number 1
_space_group_name_Hall 'P 1'
_cell_length_a 13.308
_cell_length_b 13.308
_cell_length_c 13.308
_cell_angle_alpha 153.93
_cell_angle_beta 153.93
_cell_angle_gamma 37.21
loop_
_atom_site_label
_atom_site_fract_x
_atom_site_fract_y
_atom_site_fract_z
K1 0.000 0.500 0.500
K2 0.167 0.667 0.500
K3 0.333 0.833 0.500
K4 0.500 0.000 0.500
K5 0.667 0.167 0.500
K6 0.833 0.333 0.500
B1 0.034 0.034 0.000
B2 0.072 0.072 0.303
B3 0.072 0.769 0.000
B4 0.097 0.097 0.695
B5 0.097 0.402 0.000
B6 0.208 0.208 0.000
B7 0.231 0.231 0.303
B8 0.231 0.928 0.000
B9 0.265 0.265 0.702
B10 0.265 0.563 0.000
B11 0.296 0.296 0.000
B12 0.365 0.365 0.000
B13 0.402 0.097 0.000
B14 0.402 0.402 0.305
B15 0.437 0.437 0.702
B16 0.437 0.735 0.000
B17 0.465 0.465 0.000
B18 0.535 0.535 0.000
B19 0.563 0.265 0.000
B20 0.563 0.563 0.298
B21 0.598 0.598 0.695
B22 0.598 0.903 0.000
B23 0.635 0.635 0.000
B24 0.704 0.704 0.000
B25 0.735 0.437 0.000
B26 0.735 0.735 0.298
B27 0.769 0.072 0.000
B28 0.769 0.769 0.697
B29 0.792 0.792 0.000
B30 0.903 0.598 0.000
B31 0.903 0.903 0.305
B32 0.928 0.231 0.000
B33 0.928 0.928 0.697
B34 0.966 0.966 0.000
```

=====

This entry pairs a crystal structure of ZnTe with its computed X-ray powder pattern. Radiation: Cu Kα (λ = 1.5418 Å). Structure: a DFT-relaxed cell (PBE, the Materials Project).

Main lines, by intensity (10° ≤ 2θ ≤ 90°):
| 2θ (°) | I_rel |
| --- | --- |
| 24.94 | 100 |
| 41.29 | 73 |
| 48.84 | 47 |
| 75.27 | 23 |
| 65.82 | 19 |
| 80.73 | 14 |

Structure:
```
data_ZnTe
_chemical_formula_sum 'Zn1 Te1'
_space_group_name_H-M_alt 'P 1'
_space_group_IT_number 1
_space_group_name_Hall 'P 1'
_cell_length_a 4.373
_cell_length_b 4.373
_cell_length_c 4.373
_cell_angle_alpha 60.00
_cell_angle_beta 60.00
_cell_angle_gamma 60.00
loop_
_atom_site_label
_atom_site_fract_x
_atom_site_fract_y
_atom_site_fract_z
Zn1 0.000 0.000 0.000
Te1 0.750 0.750 0.750
```

=====

This entry pairs a crystal structure of PuC2 with its computed X-ray powder pattern. Radiation: Cu Kα (λ = 1.5418 Å). Structure: a DFT-relaxed cell (PBE, the Materials Project).

Main lines, by intensity (10° ≤ 2θ ≤ 90°):
| 2θ (°) | I_rel |
| --- | --- |
| 28.39 | 100 |
| 34.66 | 42 |
| 45.87 | 34 |
| 58.35 | 29 |
| 29.11 | 29 |
| 51.16 | 26 |

Structure:
```
data_PuC2
_chemical_formula_sum 'Pu1 C2'
_space_group_name_H-M_alt 'P 1'
_space_group_IT_number 1
_space_group_name_Hall 'P 1'
_cell_length_a 4.014
_cell_length_b 4.014
_cell_length_c 4.014
_cell_angle_alpha 125.75
_cell_angle_beta 125.75
_cell_angle_gamma 80.30
loop_
_atom_site_label
_atom_site_fract_x
_atom_site_fract_y
_atom_site_fract_z
Pu1 0.000 0.000 0.000
C1 0.392 0.392 0.000
C2 0.608 0.608 0.000
```

=====

This entry pairs a crystal structure of OsN2 with its computed X-ray powder pattern. Radiation: Cu Kα (λ = 1.5418 Å). Structure: a DFT-relaxed cell (PBE, the Materials Project).

Main lines, by intensity (10° ≤ 2θ ≤ 90°):
| 2θ (°) | I_rel |
| --- | --- |
| 24.21 | 100 |
| 44.02 | 99 |
| 36.19 | 75 |
| 39.47 | 70 |
| 30.70 | 49 |
| 63.96 | 38 |

Structure:
```
data_OsN2
_chemical_formula_sum 'Os1 N2'
_space_group_name_H-M_alt 'P 1'
_space_group_IT_number 1
_space_group_name_Hall 'P 1'
_cell_length_a 3.677
_cell_length_b 3.219
_cell_length_c 3.219
_cell_angle_alpha 50.44
_cell_angle_beta 90.00
_cell_angle_gamma 90.00
loop_
_atom_site_label
_atom_site_fract_x
_atom_site_fract_y
_atom_site_fract_z
Os1 0.000 0.000 0.000
N1 0.313 0.304 0.304
N2 0.687 0.304 0.304
```

=====

This entry pairs a crystal structure of Sc5In4Co2 with its computed X-ray powder pattern. Radiation: Cu Kα (λ = 1.5418 Å). Structure: a DFT-relaxed cell (PBE, the Materials Project).

Main lines, by intensity (10° ≤ 2θ ≤ 90°):
| 2θ (°) | I_rel |
| --- | --- |
| 35.95 | 100 |
| 39.12 | 81 |
| 37.31 | 77 |
| 36.91 | 56 |
| 38.16 | 45 |
| 33.14 | 42 |

Structure:
```
data_Sc5In4Co2
_chemical_formula_sum 'Sc10 In8 Co4'
_space_group_name_H-M_alt 'P 1'
_space_group_IT_number 1
_space_group_name_Hall 'P 1'
_cell_length_a 7.612
_cell_length_b 17.364
_cell_length_c 3.335
_cell_angle_alpha 90.00
_cell_angle_beta 90.00
_cell_angle_gamma 90.00
loop_
_atom_site_label
_atom_site_fract_x
_atom_site_fract_y
_atom_site_fract_z
Sc1 0.000 0.000 0.000
Sc2 0.123 0.411 0.000
Sc3 0.246 0.721 0.000
Sc4 0.254 0.221 0.000
Sc5 0.377 0.911 0.000
Sc6 0.500 0.500 0.000
Sc7 0.623 0.089 0.000
Sc8 0.746 0.779 0.000
Sc9 0.754 0.279 0.000
Sc10 0.877 0.589 0.000
In1 0.070 0.848 0.500
In2 0.201 0.568 0.500
In3 0.299 0.068 0.500
In4 0.430 0.348 0.500
In5 0.570 0.652 0.500
In6 0.701 0.932 0.500
In7 0.799 0.432 0.500
In8 0.930 0.152 0.500
Co1 0.037 0.306 0.500
Co2 0.463 0.806 0.500
Co3 0.537 0.194 0.500
Co4 0.963 0.694 0.500
```

=====

This entry pairs a crystal structure of NaPrTiO4 with its computed X-ray powder pattern. Radiation: Cu Kα (λ = 1.5418 Å). Structure: a DFT-relaxed cell (PBE, the Materials Project).

Main lines, by intensity (10° ≤ 2θ ≤ 90°):
| 2θ (°) | I_rel |
| --- | --- |
| 27.25 | 100 |
| 31.30 | 93 |
| 33.55 | 69 |
| 48.17 | 49 |
| 48.68 | 32 |
| 58.59 | 32 |

Structure:
```
data_NaPrTiO4
_chemical_formula_sum 'Na2 Pr2 Ti2 O8'
_space_group_name_H-M_alt 'P 1'
_space_group_IT_number 1
_space_group_name_Hall 'P 1'
_cell_length_a 3.777
_cell_length_b 3.777
_cell_length_c 13.106
_cell_angle_alpha 90.00
_cell_angle_beta 90.00
_cell_angle_gamma 90.00
loop_
_atom_site_label
_atom_site_fract_x
_atom_site_fract_y
_atom_site_fract_z
Na1 0.250 0.250 0.085
Na2 0.750 0.750 0.915
Pr1 0.250 0.250 0.391
Pr2 0.750 0.750 0.609
Ti1 0.250 0.250 0.772
Ti2 0.750 0.750 0.228
O1 0.250 0.250 0.571
O2 0.250 0.250 0.906
O3 0.250 0.750 0.265
O4 0.250 0.750 0.735
O5 0.750 0.250 0.265
O6 0.750 0.250 0.735
O7 0.750 0.750 0.094
O8 0.750 0.750 0.429
```

=====

This entry pairs a crystal structure of CaBi2 with its computed X-ray powder pattern. Radiation: Cu Kα (λ = 1.5418 Å). Structure: a DFT-relaxed cell (PBE, the Materials Project).

Main lines, by intensity (10° ≤ 2θ ≤ 90°):
| 2θ (°) | I_rel |
| --- | --- |
| 31.11 | 100 |
| 19.14 | 22 |
| 31.25 | 20 |
| 37.35 | 17 |
| 28.45 | 15 |
| 39.21 | 14 |

Structure:
```
data_CaBi2
_chemical_formula_sum 'Ca2 Bi4'
_space_group_name_H-M_alt 'P 1'
_space_group_IT_number 1
_space_group_name_Hall 'P 1'
_cell_length_a 8.918
_cell_length_b 8.918
_cell_length_c 4.595
_cell_angle_alpha 90.00
_cell_angle_beta 90.00
_cell_angle_gamma 148.67
loop_
_atom_site_label
_atom_site_fract_x
_atom_site_fract_y
_atom_site_fract_z
Ca1 0.099 0.901 0.750
Ca2 0.901 0.099 0.250
Bi1 0.257 0.743 0.250
Bi2 0.434 0.566 0.750
Bi3 0.566 0.434 0.250
Bi4 0.743 0.257 0.750
```

=====

This entry pairs a crystal structure of U4Ga20Pd11 with its computed X-ray powder pattern. Radiation: Cu Kα (λ = 1.5418 Å). Structure: a DFT-relaxed cell (PBE, the Materials Project).

Main lines, by intensity (10° ≤ 2θ ≤ 90°):
| 2θ (°) | I_rel |
| --- | --- |
| 43.07 | 100 |
| 36.92 | 96 |
| 36.49 | 85 |
| 36.59 | 84 |
| 35.36 | 84 |
| 40.48 | 40 |

Structure:
```
data_U4Ga20Pd11
_chemical_formula_sum 'U4 Ga20 Pd11'
_space_group_name_H-M_alt 'P 1'
_space_group_IT_number 1
_space_group_name_Hall 'P 1'
_cell_length_a 11.077
_cell_length_b 11.077
_cell_length_c 16.295
_cell_angle_alpha 124.20
_cell_angle_beta 124.20
_cell_angle_gamma 21.86
loop_
_atom_site_label
_atom_site_fract_x
_atom_site_fract_y
_atom_site_fract_z
U1 0.122 0.122 0.338
U2 0.228 0.228 0.822
U3 0.772 0.772 0.178
U4 0.878 0.878 0.662
Ga1 0.003 0.003 0.085
Ga2 0.067 0.067 0.803
Ga3 0.103 0.103 0.546
Ga4 0.201 0.201 0.011
Ga5 0.251 0.251 0.292
Ga6 0.300 0.300 0.500
Ga7 0.368 0.368 0.797
Ga8 0.386 0.386 0.306
Ga9 0.394 0.394 0.000
Ga10 0.457 0.457 0.623
Ga11 0.543 0.543 0.377
Ga12 0.606 0.606 0.000
Ga13 0.614 0.614 0.694
Ga14 0.632 0.632 0.203
Ga15 0.700 0.700 0.500
Ga16 0.749 0.749 0.708
Ga17 0.799 0.799 0.989
Ga18 0.897 0.897 0.454
Ga19 0.933 0.933 0.197
Ga20 0.997 0.997 0.915
Pd1 0.029 0.029 0.627
Pd2 0.131 0.131 0.107
Pd3 0.241 0.241 0.612
Pd4 0.344 0.344 0.112
Pd5 0.497 0.497 0.815
Pd6 0.500 0.500 0.500
Pd7 0.503 0.503 0.185
Pd8 0.656 0.656 0.888
Pd9 0.759 0.759 0.388
Pd10 0.869 0.869 0.893
Pd11 0.971 0.971 0.373
```